Computed powder diffraction line list
Compound: Ti3Zn2O8
Radiation: Cu Kα (weighted mean of Kα1 and Kα2)
Structure: a cell relaxed with PBE
Lines closer than 0.1° are merged.

Largest 6 diffraction maxima, sorted by position, 2θ from 10° to 90°:
2θ (°), d_spacing, I/Imax
29.79, 2.999, 56
35.09, 2.558, 100
52.88, 1.732, 21
56.36, 1.632, 35
61.88, 1.500, 41
88.55, 1.104, 15

Structural model:
Cell: 8.4826 8.4826 8.4826 Å, 90.00 90.00 90.00°
Fractional positions:
Ti 0.1141 0.3750 0.3641
Ti 0.1250 0.6359 0.6141
Ti 0.1359 0.8859 0.8750
Ti 0.3641 0.1141 0.3750
Ti 0.3750 0.3641 0.1141
Ti 0.3859 0.6250 0.8641
Ti 0.6141 0.1250 0.6359
Ti 0.6250 0.8641 0.3859
Ti 0.6359 0.6141 0.1250
Ti 0.8641 0.3859 0.6250
Ti 0.8750 0.1359 0.8859
Ti 0.8859 0.8750 0.1359
Zn 0.0060 0.5060 0.9940
Zn 0.2440 0.2560 0.7440
Zn 0.2560 0.7440 0.2440
Zn 0.4940 0.4940 0.4940
Zn 0.5060 0.9940 0.0060
Zn 0.7440 0.2440 0.2560
Zn 0.7560 0.7560 0.7560
Zn 0.9940 0.0060 0.5060
O 0.1048 0.8592 0.1085
O 0.1085 0.1048 0.8592
O 0.1087 0.3913 0.6087
O 0.1092 0.8548 0.6415
O 0.1415 0.3908 0.1452
O 0.1408 0.6085 0.3952
O 0.1413 0.6413 0.8587
O 0.1452 0.1415 0.3908
O 0.3548 0.8585 0.8908
O 0.3587 0.3587 0.3587
O 0.3592 0.3915 0.8952
O 0.3585 0.6092 0.6452
O 0.3908 0.1452 0.1415
O 0.3913 0.6087 0.1087
O 0.3915 0.8952 0.3592
O 0.3952 0.1408 0.6085
O 0.6048 0.6408 0.8915
O 0.6087 0.1087 0.3913
O 0.6085 0.3952 0.1408
O 0.6092 0.6452 0.3585
O 0.6415 0.1092 0.8548
O 0.6413 0.8587 0.1413
O 0.6408 0.8915 0.6048
O 0.6452 0.3585 0.6092
O 0.8548 0.6415 0.1092
O 0.8592 0.1085 0.1048
O 0.8587 0.1413 0.6413
O 0.8585 0.8908 0.3548
O 0.8908 0.3548 0.8585
O 0.8915 0.6048 0.6408
O 0.8913 0.8913 0.8913
O 0.8952 0.3592 0.3915

=====

Computed powder diffraction line list
Compound: TiZnO3
Radiation: Cu Kα (weighted mean of Kα1 and Kα2)
Structure: a cell relaxed with PBE
Lines closer than 0.1° are merged.

Largest 6 diffraction maxima, sorted by position, 2θ from 10° to 90°:
2θ (°), d_spacing, I/Imax
32.96, 2.717, 100
40.66, 2.219, 19
47.31, 1.922, 45
58.86, 1.569, 36
69.14, 1.359, 24
78.74, 1.215, 15

Structural model:
Cell: 3.8431 3.8431 3.8431 Å, 90.00 90.00 90.00°
Fractional positions:
Ti 0.0000 0.0000 0.0000
Zn 0.5000 0.5000 0.5000
O 0.0000 0.0000 0.5000
O 0.0000 0.5000 0.0000
O 0.5000 0.0000 0.0000

=====

Computed powder diffraction line list
Compound: TiZnO3
Radiation: Cu Kα (weighted mean of Kα1 and Kα2)
Structure: a cell relaxed with PBE
Lines closer than 0.1° are merged.

Largest 6 diffraction maxima, sorted by position, 2θ from 10° to 90°:
2θ (°), d_spacing, I/Imax
33.94, 2.641, 100
34.87, 2.573, 17
48.08, 1.892, 12
49.45, 1.843, 20
60.74, 1.525, 23
61.94, 1.498, 21

Structural model:
Cell: 5.2835 7.5696 5.1458 Å, 90.00 90.00 90.00°
Fractional positions:
Ti 0.0000 0.0000 0.0000
Ti 0.0000 0.5000 0.0000
Ti 0.5000 0.0000 0.5000
Ti 0.5000 0.5000 0.5000
Zn 0.0380 0.2500 0.4955
Zn 0.4620 0.7500 0.9955
Zn 0.5380 0.2500 0.0045
Zn 0.9620 0.7500 0.5045
O 0.0538 0.7500 0.1198
O 0.1862 0.5636 0.6822
O 0.1862 0.9364 0.6822
O 0.3138 0.0636 0.1822
O 0.3138 0.4364 0.1822
O 0.4462 0.2500 0.6198
O 0.5538 0.7500 0.3802
O 0.6862 0.5636 0.8178
O 0.6862 0.9364 0.8178
O 0.8138 0.0636 0.3178
O 0.8138 0.4364 0.3178
O 0.9462 0.2500 0.8802

=====

Computed powder diffraction line list
Compound: ZrTiZn4O8
Radiation: Cu Kα (weighted mean of Kα1 and Kα2)
Structure: a cell relaxed with PBE
Lines closer than 0.1° are merged.

Largest 6 diffraction maxima, sorted by position, 2θ from 10° to 90°:
2θ (°), d_spacing, I/Imax
28.85, 3.094, 45
33.91, 2.644, 88
33.96, 2.640, 44
34.06, 2.632, 45
34.54, 2.597, 100
60.03, 1.541, 41

Structural model:
Cell: 6.1660 6.1660 6.2109 Å, 119.97 119.97 58.72°
Fractional positions:
Zr 0.0000 0.0000 0.0000
Ti 0.0000 0.0000 0.5000
Zn 0.0000 0.5000 0.0000
Zn 0.3610 0.3610 0.6057
Zn 0.5000 0.0000 0.0000
Zn 0.6390 0.6390 0.3943
O 0.2225 0.7690 0.7334
O 0.2250 0.2250 0.7349
O 0.2310 0.7775 0.2666
O 0.2387 0.2387 0.2152
O 0.7613 0.7613 0.7848
O 0.7690 0.2225 0.7334
O 0.7750 0.7750 0.2651
O 0.7775 0.2310 0.2666

=====

Computed powder diffraction line list
Compound: ZrTi2O
Radiation: Cu Kα (weighted mean of Kα1 and Kα2)
Structure: a cell relaxed with PBE
Lines closer than 0.1° are merged.

Largest 6 diffraction maxima, sorted by position, 2θ from 10° to 90°:
2θ (°), d_spacing, I/Imax
36.46, 2.464, 91
36.88, 2.437, 100
37.24, 2.415, 96
38.47, 2.340, 62
54.04, 1.697, 54
66.35, 1.409, 32

Structural model:
Cell: 4.8326 4.8326 3.0325 Å, 90.00 90.00 122.07°
Fractional positions:
Zr 0.0000 0.0000 0.0000
Ti 0.3287 0.6713 0.5000
Ti 0.6713 0.3287 0.5000
O 0.5000 0.5000 0.0000

=====

Computed powder diffraction line list
Compound: ZrTi2O
Radiation: Cu Kα (weighted mean of Kα1 and Kα2)
Structure: a cell relaxed with PBE
Lines closer than 0.1° are merged.

Largest 6 diffraction maxima, sorted by position, 2θ from 10° to 90°:
2θ (°), d_spacing, I/Imax
34.79, 2.579, 100
38.72, 2.326, 93
53.02, 1.727, 29
67.55, 1.387, 27
69.00, 1.361, 21
70.07, 1.343, 15

Structural model:
Cell: 4.6516 4.6516 6.7145 Å, 90.00 90.00 120.00°
Fractional positions:
Zr 0.0000 0.0000 0.0000
Zr 0.0000 0.0000 0.5000
Ti 0.3333 0.6667 0.2163
Ti 0.3333 0.6667 0.7837
Ti 0.6667 0.3333 0.2163
Ti 0.6667 0.3333 0.7837
O 0.3333 0.6667 0.5000
O 0.6667 0.3333 0.5000

=====

Computed powder diffraction line list
Compound: ZrTi2O
Radiation: Cu Kα (weighted mean of Kα1 and Kα2)
Structure: a cell relaxed with PBE
Lines closer than 0.1° are merged.

Largest 6 diffraction maxima, sorted by position, 2θ from 10° to 90°:
2θ (°), d_spacing, I/Imax
36.36, 2.471, 37
36.49, 2.462, 100
36.99, 2.430, 35
37.85, 2.377, 78
52.84, 1.733, 37
54.32, 1.689, 19

Structural model:
Cell: 4.7591 4.7591 6.0613 Å, 90.00 90.00 117.45°
Fractional positions:
Zr 0.0000 0.0000 0.0000
Zr 0.0000 0.0000 0.5000
Ti 0.3367 0.6633 0.2464
Ti 0.3367 0.6633 0.7536
Ti 0.6633 0.3367 0.2464
Ti 0.6633 0.3367 0.7536
O 0.0000 0.5000 0.5000
O 0.5000 0.0000 0.5000

=====

Computed powder diffraction line list
Compound: ZrTi2O6
Radiation: Cu Kα (weighted mean of Kα1 and Kα2)
Structure: a cell relaxed with PBE
Lines closer than 0.1° are merged.

Largest 6 diffraction maxima, sorted by position, 2θ from 10° to 90°:
2θ (°), d_spacing, I/Imax
24.46, 3.639, 49
30.07, 2.972, 100
30.42, 2.938, 98
52.06, 1.757, 24
53.32, 1.718, 38
53.74, 1.706, 21

Structural model:
Cell: 4.7441 5.6732 15.1874 Å, 89.96 89.11 89.94°
Fractional positions:
Zr 0.0000 0.0000 0.0000
Zr 0.0028 0.9892 0.3276
Zr 0.4996 0.1320 0.5014
Zr 0.9943 0.6210 0.8310
Ti 0.4938 0.4946 0.6632
Ti 0.4959 0.4889 0.3304
Ti 0.4968 0.4849 0.0000
Ti 0.4976 0.1362 0.8294
Ti 0.5047 0.1326 0.1658
Ti 0.9925 0.6321 0.4997
Ti 0.9992 0.6202 0.1639
Ti 0.9994 0.9949 0.6670
O 0.1987 0.9227 0.5589
O 0.2264 0.6976 0.7159
O 0.2272 0.6844 0.0549
O 0.2359 0.9262 0.8836
O 0.2399 0.9216 0.2138
O 0.2437 0.6907 0.3905
O 0.2527 0.1950 0.7230
O 0.2643 0.4327 0.2232
O 0.2664 0.4366 0.5568
O 0.2749 0.4142 0.8961
O 0.2852 0.2097 0.3864
O 0.2992 0.2025 0.0600
O 0.6910 0.4243 0.7706
O 0.7077 0.2034 0.2716
O 0.7205 0.2059 0.9335
O 0.7324 0.1977 0.6146
O 0.7425 0.4323 0.4396
O 0.7440 0.4244 0.1057
O 0.7587 0.6887 0.6074
O 0.7586 0.6965 0.9468
O 0.7641 0.9330 0.7745
O 0.7696 0.9245 0.1158
O 0.7734 0.6819 0.2726
O 0.7846 0.9092 0.4433

=====

What did the fifth record say?
Computed powder diffraction line list
Compound: ZrTi2O
Radiation: Cu Kα (weighted mean of Kα1 and Kα2)
Structure: a cell relaxed with PBE
Lines closer than 0.1° are merged.

Largest 6 diffraction maxima, sorted by position, 2θ from 10° to 90°:
2θ (°), d_spacing, I/Imax
36.46, 2.464, 91
36.88, 2.437, 100
37.24, 2.415, 96
38.47, 2.340, 62
54.04, 1.697, 54
66.35, 1.409, 32

Structural model:
Cell: 4.8326 4.8326 3.0325 Å, 90.00 90.00 122.07°
Fractional positions:
Zr 0.0000 0.0000 0.0000
Ti 0.3287 0.6713 0.5000
Ti 0.6713 0.3287 0.5000
O 0.5000 0.5000 0.0000

=====

What did the seventh record say?
Computed powder diffraction line list
Compound: ZrTi2O
Radiation: Cu Kα (weighted mean of Kα1 and Kα2)
Structure: a cell relaxed with PBE
Lines closer than 0.1° are merged.

Largest 6 diffraction maxima, sorted by position, 2θ from 10° to 90°:
2θ (°), d_spacing, I/Imax
36.36, 2.471, 37
36.49, 2.462, 100
36.99, 2.430, 35
37.85, 2.377, 78
52.84, 1.733, 37
54.32, 1.689, 19

Structural model:
Cell: 4.7591 4.7591 6.0613 Å, 90.00 90.00 117.45°
Fractional positions:
Zr 0.0000 0.0000 0.0000
Zr 0.0000 0.0000 0.5000
Ti 0.3367 0.6633 0.2464
Ti 0.3367 0.6633 0.7536
Ti 0.6633 0.3367 0.2464
Ti 0.6633 0.3367 0.7536
O 0.0000 0.5000 0.5000
O 0.5000 0.0000 0.5000